1.
Cs2BrCl6F: computed powder diffractogram (a wavelength of 1.5418 Å), based on a PBE-relaxed structure.

Peak list (6 most intense, 2θ from 10° to 90°, sorted by position)
2θ = 24.1°, I 100; 2θ = 29.6°, I 66; 2θ = 34.3°, I 78; 2θ = 42.4°, I 44; 2θ = 49.3°, I 51; 2θ = 58.6°, I 24

Cell and atoms:
Unit cell a=7.3911 b=7.3911 c=7.3911 alpha=60.00 beta=60.00 gamma=60.00
Positions (direct):
Cs 0.2500 0.2500 0.2500
Cs 0.7500 0.7500 0.7500
Br 0.0000 0.0000 0.0000
Cl 0.2371 0.2371 0.7629
Cl 0.2371 0.7629 0.2371
Cl 0.2371 0.7629 0.7629
Cl 0.7629 0.2371 0.2371
Cl 0.7629 0.2371 0.7629
Cl 0.7629 0.7629 0.2371
F 0.5000 0.5000 0.5000

=====

2.
Cs2OsBrClF4: computed powder diffractogram (a wavelength of 1.5418 Å), based on a PBE-relaxed structure.

Peak list (6 most intense, 2θ from 10° to 90°, sorted by position)
2θ = 15.9°, I 83; 2θ = 24.5°, I 100; 2θ = 26.8°, I 76; 2θ = 33.2°, I 29; 2θ = 34.9°, I 58; 2θ = 44.5°, I 32

Cell and atoms:
Unit cell a=6.7475 b=6.7475 c=6.7475 alpha=114.72 beta=114.72 gamma=99.42
Positions (direct):
Cs 0.0000 0.5000 0.5000
Cs 0.5000 0.0000 0.5000
Os 0.2511 0.2511 0.0000
Br 0.5383 0.5383 0.0000
Cl 0.9815 0.9815 0.0000
F 0.0581 0.0581 0.6168
F 0.0581 0.4413 0.0000
F 0.4413 0.0581 0.0000
F 0.4413 0.4413 0.3832

=====

3.
CsHgBr2Cl: computed powder diffractogram (a wavelength of 1.5418 Å), based on a PBE-relaxed structure.

Peak list (6 most intense, 2θ from 10° to 90°, sorted by position)
2θ = 22.6°, I 100; 2θ = 31.6°, I 72; 2θ = 32.6°, I 33; 2θ = 39.2°, I 50; 2θ = 46.1°, I 50; 2θ = 57.0°, I 26

Cell and atoms:
Unit cell a=5.6555 b=5.6555 c=5.4902 alpha=90.00 beta=90.00 gamma=90.00
Positions (direct):
Cs 0.0000 0.0000 0.0000
Hg 0.5000 0.5000 0.5000
Br 0.0000 0.5000 0.5000
Br 0.5000 0.0000 0.5000
Cl 0.5000 0.5000 0.0000

=====

4.
CsReBrCl3: computed powder diffractogram (a wavelength of 1.5418 Å), based on a PBE-relaxed structure.

Peak list (6 most intense, 2θ from 10° to 90°, sorted by position)
2θ = 11.7°, I 100; 2θ = 12.2°, I 73; 2θ = 17.2°, I 31; 2θ = 19.0°, I 19; 2θ = 20.9°, I 37; 2θ = 37.8°, I 26

Cell and atoms:
Unit cell a=11.0972 b=10.2939 c=10.2939 alpha=90.44 beta=90.00 gamma=90.00
Positions (direct):
Cs 0.0000 0.0000 0.0000
Cs 0.2500 0.4284 0.7920
Cs 0.2500 0.4834 0.2912
Cs 0.5000 0.0000 0.0000
Cs 0.7500 0.2912 0.4834
Cs 0.7500 0.7920 0.4284
Re 0.1381 0.0074 0.4448
Re 0.2500 0.9137 0.6299
Re 0.3619 0.0074 0.4448
Re 0.6381 0.4448 0.0074
Re 0.7500 0.6299 0.9137
Re 0.8619 0.4448 0.0074
Br 0.0178 0.9121 0.6353
Br 0.2500 0.1073 0.2499
Br 0.4822 0.9121 0.6353
Br 0.5178 0.6353 0.9121
Br 0.7500 0.2499 0.1073
Br 0.9822 0.6353 0.9121
Cl 0.0701 0.3350 0.0588
Cl 0.1027 0.2180 0.5238
Cl 0.1040 0.8186 0.3243
Cl 0.2500 0.0937 0.7697
Cl 0.2500 0.6951 0.5677
Cl 0.2500 0.8032 0.8590
Cl 0.3960 0.8186 0.3243
Cl 0.3973 0.2180 0.5238
Cl 0.4299 0.3350 0.0588
Cl 0.5701 0.0588 0.3350
Cl 0.6027 0.5238 0.2180
Cl 0.6040 0.3243 0.8186
Cl 0.7500 0.5677 0.6951
Cl 0.7500 0.7697 0.0937
Cl 0.7500 0.8590 0.8032
Cl 0.8960 0.3243 0.8186
Cl 0.8973 0.5238 0.2180
Cl 0.9299 0.0588 0.3350

=====

5.
Cs2SBrCl6: computed powder diffractogram (a wavelength of 1.5418 Å), based on a PBE-relaxed structure.

Peak list (6 most intense, 2θ from 10° to 90°, sorted by position)
2θ = 23.3°, I 100; 2θ = 28.6°, I 48; 2θ = 33.2°, I 65; 2θ = 40.9°, I 39; 2θ = 47.6°, I 40; 2θ = 64.5°, I 26

Cell and atoms:
Unit cell a=7.6398 b=7.6398 c=7.6398 alpha=60.00 beta=60.00 gamma=60.00
Positions (direct):
Cs 0.2500 0.2500 0.2500
Cs 0.7500 0.7500 0.7500
S 0.0000 0.0000 0.0000
Br 0.5000 0.5000 0.5000
Cl 0.2165 0.2165 0.7835
Cl 0.2165 0.7835 0.2165
Cl 0.2165 0.7835 0.7835
Cl 0.7835 0.2165 0.2165
Cl 0.7835 0.2165 0.7835
Cl 0.7835 0.7835 0.2165

=====

6.
CsW3Br3Cl4: computed powder diffractogram (a wavelength of 1.5418 Å), based on a PBE-relaxed structure.

Peak list (6 most intense, 2θ from 10° to 90°, sorted by position)
2θ = 11.1°, I 23; 2θ = 11.3°, I 100; 2θ = 14.9°, I 36; 2θ = 20.5°, I 19; 2θ = 36.6°, I 18; 2θ = 41.7°, I 25

Cell and atoms:
Unit cell a=10.3323 b=10.3323 c=15.9198 alpha=90.00 beta=90.00 gamma=120.00
Positions (direct):
Cs 0.0000 0.0000 0.0000
Cs 0.0000 0.0000 0.5000
Cs 0.3333 0.6667 0.2262
Cs 0.6667 0.3333 0.7262
W 0.1820 0.5235 0.6638
W 0.1892 0.6733 0.7988
W 0.3267 0.5159 0.7988
W 0.3415 0.8180 0.6638
W 0.4765 0.6585 0.6638
W 0.4841 0.8108 0.7988
W 0.5159 0.3267 0.2988
W 0.5235 0.1820 0.1638
W 0.6585 0.4765 0.1638
W 0.6733 0.1892 0.2988
W 0.8108 0.4841 0.2988
W 0.8180 0.3415 0.1638
Br 0.0239 0.6967 0.3869
Br 0.0403 0.3615 0.0754
Br 0.3033 0.3272 0.3869
Br 0.3211 0.9597 0.0754
Br 0.3272 0.3033 0.8869
Br 0.3615 0.0403 0.5754
Br 0.6385 0.6789 0.0754
Br 0.6728 0.9761 0.3869
Br 0.6789 0.6385 0.5754
Br 0.6967 0.0239 0.8869
Br 0.9597 0.3211 0.5754
Br 0.9761 0.6728 0.8869
Cl 0.0469 0.3915 0.7973
Cl 0.0610 0.6836 0.6653
Cl 0.3164 0.3774 0.6653
Cl 0.3333 0.6667 0.5384
Cl 0.3333 0.6667 0.9238
Cl 0.3446 0.9531 0.7973
Cl 0.3774 0.3164 0.1653
Cl 0.3915 0.0469 0.2973
Cl 0.6085 0.6554 0.7973
Cl 0.6226 0.9390 0.6653
Cl 0.6554 0.6085 0.2973
Cl 0.6667 0.3333 0.0384
Cl 0.6667 0.3333 0.4238
Cl 0.6836 0.0610 0.1653
Cl 0.9390 0.6226 0.1653
Cl 0.9531 0.3446 0.2973

=====

7.
Cu4Br3Cl: computed powder diffractogram (a wavelength of 1.5418 Å), based on a PBE-relaxed structure.

Peak list (6 most intense, 2θ from 10° to 90°, sorted by position)
2θ = 33.7°, I 100; 2θ = 48.4°, I 69; 2θ = 60.2°, I 23; 2θ = 70.8°, I 7; 2θ = 80.7°, I 19; 2θ = 80.9°, I 9

Cell and atoms:
Unit cell a=6.5126 b=6.5126 c=6.5126 alpha=131.72 beta=131.72 gamma=70.67
Positions (direct):
Cu 0.0000 0.5000 0.5000
Cu 0.2464 0.2464 0.0000
Cu 0.5000 0.0000 0.5000
Cu 0.7536 0.7536 0.0000
Br 0.2500 0.7500 0.5000
Br 0.5000 0.5000 0.0000
Br 0.7500 0.2500 0.5000
Cl 0.0000 0.0000 0.0000

=====

8.
Na2CuBr2Cl2: computed powder diffractogram (a wavelength of 1.5418 Å), based on a PBE-relaxed structure.

Peak list (6 most intense, 2θ from 10° to 90°, sorted by position)
2θ = 28.0°, I 37; 2θ = 29.8°, I 70; 2θ = 33.7°, I 100; 2θ = 45.6°, I 82; 2θ = 48.4°, I 34; 2θ = 57.9°, I 38

Cell and atoms:
Unit cell a=5.3157 b=5.3157 c=5.9918 alpha=90.00 beta=90.00 gamma=90.00
Positions (direct):
Na 0.0000 0.5000 0.0000
Na 0.5000 0.0000 0.0000
Cu 0.0000 0.0000 0.5000
Br 0.0000 0.5000 0.5000
Br 0.5000 0.0000 0.5000
Cl 0.0000 0.0000 0.0000
Cl 0.5000 0.5000 0.0000

=====

9.
Rb2CuBrCl3: computed powder diffractogram (a wavelength of 1.5418 Å), based on a PBE-relaxed structure.

Peak list (6 most intense, 2θ from 10° to 90°, sorted by position)
2θ = 10.9°, I 31; 2θ = 24.4°, I 100; 2θ = 32.6°, I 30; 2θ = 33.0°, I 72; 2θ = 34.7°, I 82; 2θ = 48.8°, I 29

Cell and atoms:
Unit cell a=7.3063 b=8.8926 c=8.8926 alpha=48.47 beta=90.00 gamma=90.00
Positions (direct):
Rb 0.0000 0.0000 0.0000
Rb 0.0000 0.2706 0.2706
Rb 0.5000 0.5000 0.5000
Rb 0.5000 0.7706 0.7706
Cu 0.0000 0.6300 0.6300
Cu 0.5000 0.1300 0.1300
Br 0.0000 0.7874 0.7874
Br 0.5000 0.2874 0.2874
Cl 0.0000 0.4848 0.4848
Cl 0.2190 0.8526 0.4132
Cl 0.2810 0.3526 0.9132
Cl 0.5000 0.9848 0.9848
Cl 0.7190 0.9132 0.3526
Cl 0.7810 0.4132 0.8526

=====

10.
EuBrCl: computed powder diffractogram (a wavelength of 1.5418 Å), based on a PBE-relaxed structure.

Peak list (6 most intense, 2θ from 10° to 90°, sorted by position)
2θ = 21.4°, I 60; 2θ = 29.9°, I 63; 2θ = 31.8°, I 100; 2θ = 34.7°, I 38; 2θ = 36.5°, I 52; 2θ = 42.0°, I 28

Cell and atoms:
Unit cell a=8.0554 b=4.3032 c=9.7177 alpha=90.00 beta=90.00 gamma=90.00
Positions (direct):
Eu 0.1936 0.2500 0.1523
Eu 0.3064 0.7500 0.6523
Eu 0.6936 0.2500 0.3477
Eu 0.8064 0.7500 0.8477
Br 0.0063 0.2500 0.6779
Br 0.4937 0.7500 0.1779
Br 0.5063 0.2500 0.8221
Br 0.9937 0.7500 0.3221
Cl 0.1600 0.7500 0.9455
Cl 0.3400 0.2500 0.4455
Cl 0.6600 0.7500 0.5545
Cl 0.8400 0.2500 0.0545

=====

11.
Hg6S4IBr2Cl: computed powder diffractogram (a wavelength of 1.5418 Å), based on a PBE-relaxed structure.

Peak list (6 most intense, 2θ from 10° to 90°, sorted by position)
2θ = 20.6°, I 37; 2θ = 28.1°, I 100; 2θ = 28.5°, I 48; 2θ = 32.6°, I 48; 2θ = 32.7°, I 51; 2θ = 37.1°, I 41

Cell and atoms:
Unit cell a=13.3347 b=9.7019 c=13.2438 alpha=90.00 beta=90.00 gamma=90.00
Positions (direct):
Hg 0.0236 0.2500 0.1997
Hg 0.1173 0.0145 0.6535
Hg 0.1173 0.4855 0.6535
Hg 0.1543 0.5073 0.3802
Hg 0.1543 0.9927 0.3802
Hg 0.1919 0.7500 0.0277
Hg 0.3081 0.2500 0.5277
Hg 0.3457 0.0073 0.8802
Hg 0.3457 0.4927 0.8802
Hg 0.3827 0.5145 0.1535
Hg 0.3827 0.9855 0.1535
Hg 0.4764 0.7500 0.6997
Hg 0.5236 0.2500 0.3003
Hg 0.6173 0.0145 0.8465
Hg 0.6173 0.4855 0.8465
Hg 0.6543 0.5073 0.1198
Hg 0.6543 0.9927 0.1198
Hg 0.6919 0.7500 0.4723
Hg 0.8081 0.2500 0.9723
Hg 0.8457 0.0073 0.6198
Hg 0.8457 0.4927 0.6198
Hg 0.8827 0.5145 0.3465
Hg 0.8827 0.9855 0.3465
Hg 0.9764 0.7500 0.8003
S 0.0332 0.0011 0.2410
S 0.0332 0.4989 0.2410
S 0.2435 0.5027 0.0334
S 0.2435 0.9973 0.0334
S 0.2565 0.0027 0.5334
S 0.2565 0.4973 0.5334
S 0.4668 0.5011 0.7410
S 0.4668 0.9989 0.7410
S 0.5332 0.0011 0.2590
S 0.5332 0.4989 0.2590
S 0.7435 0.5027 0.4666
S 0.7435 0.9973 0.4666
S 0.7565 0.0027 0.9666
S 0.7565 0.4973 0.9666
S 0.9668 0.5011 0.7590
S 0.9668 0.9989 0.7590
I 0.0083 0.7500 0.4926
I 0.4917 0.2500 0.9926
I 0.5083 0.7500 0.0074
I 0.9917 0.2500 0.5074
Br 0.2157 0.7500 0.7822
Br 0.2299 0.2500 0.7712
Br 0.2701 0.7500 0.2712
Br 0.2843 0.2500 0.2822
Br 0.7157 0.7500 0.7178
Br 0.7299 0.2500 0.7288
Br 0.7701 0.7500 0.2288
Br 0.7843 0.2500 0.2178
Cl 0.0028 0.2500 0.9988
Cl 0.4972 0.7500 0.4988
Cl 0.5028 0.2500 0.5012
Cl 0.9972 0.7500 0.0012